[1]
Calculated X-ray diffraction stick pattern of La11Dy4Ho9 for CuKα, from a structure optimized by DFT (PBE).

Crystal structure
a = 15.5520 Å, b = 15.5520 Å, c = 3.7028 Å
α = 90.00°, β = 90.00°, γ = 113.02°
Sites, in units of the cell vectors:
La 0.0000 0.0000 0.0000
La 0.0428 0.4045 0.0000
La 0.1595 0.8405 0.0000
La 0.2928 0.2928 0.0000
La 0.3683 0.6317 0.0000
La 0.4045 0.0428 0.0000
La 0.5955 0.9572 0.0000
La 0.6317 0.3683 0.0000
La 0.7072 0.7072 0.0000
La 0.8405 0.1595 0.0000
La 0.9572 0.5955 0.0000
Dy 0.2411 0.4447 0.5000
Dy 0.4447 0.2411 0.5000
Dy 0.5553 0.7589 0.5000
Dy 0.7589 0.5553 0.5000
Ho 0.0689 0.2136 0.5000
Ho 0.1663 0.6315 0.5000
Ho 0.2136 0.0689 0.5000
Ho 0.3685 0.8337 0.5000
Ho 0.5000 0.5000 0.5000
Ho 0.6315 0.1663 0.5000
Ho 0.7864 0.9311 0.5000
Ho 0.8337 0.3685 0.5000
Ho 0.9311 0.7864 0.5000

Largest 12 diffraction maxima, in order of rising 2θ, 2θ from 15° to 90°:
27.97 deg, I = 16; 29.33 deg, I = 100; 29.67 deg, I = 35; 30.56 deg, I = 36; 31.26 deg, I = 18; 31.47 deg, I = 31; 31.82 deg, I = 95; 31.93 deg, I = 95; 32.04 deg, I = 21; 33.58 deg, I = 17; 49.22 deg, I = 26; 58.34 deg, I = 33

[2]
Calculated X-ray diffraction stick pattern of La5Dy2Ho2 for CuKα, from a structure optimized by DFT (PBE).

Crystal structure
a = 6.2954 Å, b = 6.3051 Å, c = 9.6674 Å
α = 71.21°, β = 71.46°, γ = 60.19°
Sites, in units of the cell vectors:
La 0.0000 0.0000 0.0000
La 0.1101 0.4434 0.6689
La 0.4447 0.7788 0.6678
La 0.5553 0.2212 0.3322
La 0.8899 0.5566 0.3311
Dy 0.3341 0.3303 0.9999
Dy 0.6659 0.6697 0.0001
Ho 0.2228 0.8903 0.3315
Ho 0.7772 0.1097 0.6685

Largest 12 diffraction maxima, in order of rising 2θ, 2θ from 15° to 90°:
29.89 deg, I = 100; 30.01 deg, I = 50; 30.16 deg, I = 49; 34.68 deg, I = 34; 34.81 deg, I = 67; 49.74 deg, I = 24; 50.01 deg, I = 12; 50.09 deg, I = 24; 50.21 deg, I = 12; 59.26 deg, I = 22; 59.33 deg, I = 21; 59.58 deg, I = 21

[3]
Calculated X-ray diffraction stick pattern of La2Dy9Ho for CuKα, from a structure optimized by DFT (PBE).

Crystal structure
a = 11.3466 Å, b = 11.3466 Å, c = 3.4794 Å
α = 90.00°, β = 90.00°, γ = 120.00°
Sites, in units of the cell vectors:
La 0.3333 0.6667 0.0000
La 0.6667 0.3333 0.0000
Dy 0.0000 0.5000 0.0000
Dy 0.1711 0.3423 0.5000
Dy 0.1711 0.8289 0.5000
Dy 0.3423 0.1711 0.5000
Dy 0.5000 0.0000 0.0000
Dy 0.5000 0.5000 0.0000
Dy 0.6577 0.8289 0.5000
Dy 0.8289 0.1711 0.5000
Dy 0.8289 0.6577 0.5000
Ho 0.0000 0.0000 0.0000

Largest 12 diffraction maxima, in order of rising 2θ, 2θ from 15° to 90°:
30.13 deg, I = 15; 31.53 deg, I = 100; 35.35 deg, I = 7; 37.72 deg, I = 8; 45.18 deg, I = 13; 49.96 deg, I = 7; 56.15 deg, I = 26; 62.64 deg, I = 18; 65.85 deg, I = 8; 74.83 deg, I = 6; 80.55 deg, I = 9; 89.06 deg, I = 7

[4]
Calculated X-ray diffraction stick pattern of La2Dy3Ho8 for CuKα, from a structure optimized by DFT (PBE).

Crystal structure
a = 11.2210 Å, b = 11.2210 Å, c = 5.4850 Å
α = 90.00°, β = 90.00°, γ = 140.25°
Sites, in units of the cell vectors:
La 0.2400 0.7600 0.0000
La 0.7600 0.2400 0.0000
Dy 0.0000 0.0000 0.0000
Dy 0.2892 0.2892 0.5000
Dy 0.7108 0.7108 0.5000
Ho 0.1241 0.8759 0.5000
Ho 0.1819 0.3927 0.0000
Ho 0.3423 0.6577 0.5000
Ho 0.3927 0.1819 0.0000
Ho 0.6073 0.8181 0.0000
Ho 0.6577 0.3423 0.5000
Ho 0.8181 0.6073 0.0000
Ho 0.8759 0.1241 0.5000

Largest 12 diffraction maxima, in order of rising 2θ, 2θ from 15° to 90°:
24.82 deg, I = 15; 29.15 deg, I = 28; 30.18 deg, I = 27; 32.65 deg, I = 36; 33.27 deg, I = 100; 33.98 deg, I = 14; 47.84 deg, I = 11; 53.12 deg, I = 9; 58.66 deg, I = 20; 60.41 deg, I = 12; 63.77 deg, I = 10; 67.46 deg, I = 9

[5]
Calculated X-ray diffraction stick pattern of La2Dy3Ho5 for CuKα, from a structure optimized by DFT (PBE).

Crystal structure
a = 9.6635 Å, b = 9.6635 Å, c = 9.3439 Å
α = 108.07°, β = 108.07°, γ = 113.48°
Sites, in units of the cell vectors:
La 0.0143 0.2701 0.0464
La 0.2701 0.0143 0.5464
La 0.7299 0.9857 0.4536
La 0.9857 0.7299 0.9536
Dy 0.0221 0.9779 0.7500
Dy 0.2214 0.4665 0.4517
Dy 0.4665 0.2214 0.9517
Dy 0.5335 0.7786 0.0483
Dy 0.7786 0.5335 0.5483
Dy 0.9779 0.0221 0.2500
Ho 0.1476 0.3893 0.7773
Ho 0.2298 0.7702 0.7500
Ho 0.2754 0.7246 0.2500
Ho 0.3893 0.1476 0.2773
Ho 0.4728 0.5272 0.2500
Ho 0.5272 0.4728 0.7500
Ho 0.6107 0.8524 0.7227
Ho 0.7246 0.2754 0.7500
Ho 0.7702 0.2298 0.2500
Ho 0.8524 0.6107 0.2227

Largest 12 diffraction maxima, in order of rising 2θ, 2θ from 15° to 90°:
30.13 deg, I = 100; 30.75 deg, I = 89; 32.10 deg, I = 21; 33.83 deg, I = 43; 37.45 deg, I = 16; 38.96 deg, I = 16; 47.32 deg, I = 14; 49.00 deg, I = 19; 58.24 deg, I = 15; 58.61 deg, I = 14; 60.87 deg, I = 21; 65.01 deg, I = 21

[6]
Calculated X-ray diffraction stick pattern of La2Dy3Ho7 for CuKα, from a structure optimized by DFT (PBE).

Crystal structure
a = 6.3468 Å, b = 3.5179 Å, c = 17.4877 Å
α = 90.00°, β = 96.22°, γ = 90.00°
Sites, in units of the cell vectors:
La 0.0572 0.0000 0.1732
La 0.9428 0.0000 0.8268
Dy 0.4546 0.5000 0.8426
Dy 0.5000 0.0000 0.5000
Dy 0.5454 0.5000 0.1574
Ho 0.0000 0.5000 0.5000
Ho 0.2297 0.0000 0.6651
Ho 0.2568 0.0000 0.9990
Ho 0.2757 0.5000 0.3385
Ho 0.7243 0.5000 0.6615
Ho 0.7432 0.0000 0.0010
Ho 0.7703 0.0000 0.3349

Largest 12 diffraction maxima, in order of rising 2θ, 2θ from 15° to 90°:
29.78 deg, I = 62; 30.77 deg, I = 85; 30.86 deg, I = 95; 31.39 deg, I = 100; 33.79 deg, I = 66; 34.86 deg, I = 76; 38.05 deg, I = 27; 50.33 deg, I = 36; 52.00 deg, I = 26; 52.85 deg, I = 39; 61.64 deg, I = 24; 61.69 deg, I = 27

[7]
Calculated X-ray diffraction stick pattern of La10Dy4Ho for CuKα, from a structure optimized by DFT (PBE).

Crystal structure
a = 9.6778 Å, b = 9.6778 Å, c = 9.6778 Å
α = 99.70°, β = 99.70°, γ = 131.54°
Sites, in units of the cell vectors:
La 0.0503 0.1509 0.7004
La 0.1509 0.4505 0.1006
La 0.2500 0.7500 0.5000
La 0.3499 0.0503 0.8994
La 0.4505 0.3499 0.2996
La 0.5495 0.6501 0.7004
La 0.6501 0.9497 0.1006
La 0.7500 0.2500 0.5000
La 0.8491 0.5495 0.8994
La 0.9497 0.8491 0.2996
Dy 0.1003 0.2997 0.3999
Dy 0.2997 0.8997 0.1994
Dy 0.7003 0.1003 0.8006
Dy 0.8997 0.7003 0.6001
Ho 0.5000 0.5000 0.0000

Largest 12 diffraction maxima, in order of rising 2θ, 2θ from 15° to 90°:
19.44 deg, I = 47; 22.53 deg, I = 8; 31.97 deg, I = 100; 32.07 deg, I = 50; 37.60 deg, I = 9; 37.78 deg, I = 17; 45.68 deg, I = 9; 45.99 deg, I = 18; 56.91 deg, I = 19; 57.10 deg, I = 38; 66.83 deg, I = 12; 76.27 deg, I = 16

[8]
Calculated X-ray diffraction stick pattern of La12Dy5Ho for CuKα, from a structure optimized by DFT (PBE).

Crystal structure
a = 6.3743 Å, b = 6.3743 Å, c = 18.0739 Å
α = 93.34°, β = 93.34°, γ = 120.02°
Sites, in units of the cell vectors:
La 0.0540 0.3870 0.1640
La 0.1129 0.1129 0.3369
La 0.2203 0.5536 0.6631
La 0.2790 0.2790 0.8360
La 0.3870 0.0540 0.1640
La 0.4464 0.7797 0.3369
La 0.5536 0.2203 0.6631
La 0.6130 0.9460 0.8360
La 0.7210 0.7210 0.1640
La 0.7797 0.4464 0.3369
La 0.8871 0.8871 0.6631
La 0.9460 0.6130 0.8360
Dy 0.1667 0.8333 0.5000
Dy 0.3333 0.6667 0.0000
Dy 0.5000 0.5000 0.5000
Dy 0.6667 0.3333 0.0000
Dy 0.8333 0.1667 0.5000
Ho 0.0000 0.0000 0.0000

Largest 12 diffraction maxima, in order of rising 2θ, 2θ from 15° to 90°:
28.79 deg, I = 26; 29.22 deg, I = 77; 29.87 deg, I = 83; 30.36 deg, I = 33; 31.05 deg, I = 100; 32.65 deg, I = 89; 35.54 deg, I = 44; 48.23 deg, I = 19; 49.54 deg, I = 62; 52.71 deg, I = 22; 58.93 deg, I = 73; 83.24 deg, I = 27

[9]
Calculated X-ray diffraction stick pattern of La2DyHo5 for CuKα, from a structure optimized by DFT (PBE).

Crystal structure
a = 7.1582 Å, b = 14.3170 Å, c = 5.0874 Å
α = 90.00°, β = 90.00°, γ = 90.00°
Sites, in units of the cell vectors:
La 0.2493 0.1251 0.0000
La 0.2507 0.6251 0.0000
La 0.7493 0.3749 0.0000
La 0.7507 0.8749 0.0000
Dy 0.0000 0.5000 0.5000
Dy 0.5000 0.0000 0.5000
Ho 0.0000 0.0000 0.5000
Ho 0.0007 0.7501 0.5000
Ho 0.2492 0.3750 0.0000
Ho 0.2508 0.8750 0.0000
Ho 0.4993 0.2501 0.5000
Ho 0.5000 0.5000 0.5000
Ho 0.5007 0.7499 0.5000
Ho 0.7492 0.1250 0.0000
Ho 0.7508 0.6250 0.0000
Ho 0.9993 0.2499 0.5000

Largest 12 diffraction maxima, in order of rising 2θ, 2θ from 15° to 90°:
30.54 deg, I = 100; 35.28 deg, I = 17; 35.47 deg, I = 34; 50.90 deg, I = 24; 51.03 deg, I = 12; 60.40 deg, I = 14; 60.65 deg, I = 29; 63.57 deg, I = 12; 82.95 deg, I = 12; 83.17 deg, I = 6; 85.43 deg, I = 6; 85.76 deg, I = 6

[10]
Calculated X-ray diffraction stick pattern of LaDy6Ho6 for CuKα, from a structure optimized by DFT (PBE).

Crystal structure
a = 6.6157 Å, b = 6.6157 Å, c = 11.4735 Å
α = 90.00°, β = 90.00°, γ = 120.00°
Sites, in units of the cell vectors:
La 0.0000 0.0000 0.0000
Dy 0.0000 0.0000 0.3527
Dy 0.0000 0.0000 0.6473
Dy 0.3333 0.6667 0.0000
Dy 0.3333 0.6667 0.5000
Dy 0.6667 0.3333 0.0000
Dy 0.6667 0.3333 0.5000
Ho 0.0000 0.5000 0.2459
Ho 0.0000 0.5000 0.7541
Ho 0.5000 0.0000 0.2459
Ho 0.5000 0.0000 0.7541
Ho 0.5000 0.5000 0.2459
Ho 0.5000 0.5000 0.7541

Largest 12 diffraction maxima, in order of rising 2θ, 2θ from 15° to 90°:
26.95 deg, I = 22; 28.05 deg, I = 14; 31.21 deg, I = 100; 35.00 deg, I = 79; 50.35 deg, I = 15; 52.98 deg, I = 14; 55.54 deg, I = 39; 57.99 deg, I = 8; 65.09 deg, I = 22; 67.37 deg, I = 16; 69.57 deg, I = 9; 78.25 deg, I = 8

[11]
Calculated X-ray diffraction stick pattern of La4Dy3Ho2 for CuKα, from a structure optimized by DFT (PBE).

Crystal structure
a = 8.1293 Å, b = 8.1293 Å, c = 8.0756 Å
α = 107.39°, β = 107.39°, γ = 36.99°
Sites, in units of the cell vectors:
La 0.0540 0.0540 0.3295
La 0.2763 0.2763 0.6679
La 0.7237 0.7237 0.3321
La 0.9460 0.9460 0.6705
Dy 0.3882 0.3882 0.3287
Dy 0.5000 0.5000 0.0000
Dy 0.6118 0.6118 0.6713
Ho 0.1677 0.1677 0.0000
Ho 0.8323 0.8323 0.0000

Largest 12 diffraction maxima, in order of rising 2θ, 2θ from 15° to 90°:
30.14 deg, I = 100; 34.79 deg, I = 17; 34.91 deg, I = 17; 35.13 deg, I = 17; 50.11 deg, I = 12; 50.27 deg, I = 18; 59.51 deg, I = 15; 59.62 deg, I = 7; 59.74 deg, I = 7; 59.91 deg, I = 7; 60.02 deg, I = 7; 62.59 deg, I = 6

[12]
Calculated X-ray diffraction stick pattern of La7Dy3Ho for CuKα, from a structure optimized by DFT (PBE).

Crystal structure
a = 6.9486 Å, b = 10.2187 Å, c = 12.0368 Å
α = 99.78°, β = 101.34°, γ = 107.28°
Sites, in units of the cell vectors:
La 0.0000 0.0000 0.0000
La 0.0152 0.7047 0.6864
La 0.0684 0.1719 0.3332
La 0.1206 0.6369 0.9568
La 0.2670 0.0676 0.6436
La 0.3021 0.5300 0.2223
La 0.3545 0.7849 0.5030
La 0.4992 0.5003 0.5003
La 0.5158 0.2044 0.1864
La 0.5679 0.6714 0.8338
La 0.6206 0.1368 0.4565
La 0.7675 0.5673 0.1440
La 0.8014 0.0299 0.7219
La 0.8551 0.2848 0.0030
Dy 0.1814 0.8721 0.2353
Dy 0.3294 0.3124 0.9201
Dy 0.4358 0.9748 0.9082
Dy 0.6812 0.3721 0.7352
Dy 0.8289 0.8126 0.4200
Dy 0.9350 0.4750 0.4085
Ho 0.1266 0.3646 0.6543
Ho 0.6271 0.8645 0.1540

Largest 12 diffraction maxima, in order of rising 2θ, 2θ from 15° to 90°:
29.47 deg, I = 35; 30.26 deg, I = 43; 30.57 deg, I = 52; 31.00 deg, I = 58; 31.23 deg, I = 100; 32.11 deg, I = 17; 33.35 deg, I = 23; 42.05 deg, I = 14; 45.01 deg, I = 14; 54.01 deg, I = 12; 55.41 deg, I = 11; 61.94 deg, I = 11